# 1
Ti3Zn7Pd: computed powder diffraction line list (Cu Kα), based on a crystal structure in Alexandria, relaxed with PBE.
Intensities are scaled so that the largest is 100.

Top 10 peaks for 10 to 80 degrees two-theta, in order of rising 2θ:
11.31 deg, I 36
16.08 deg, I 38
34.64 deg, I 44
37.38 deg, I 78
38.64 deg, I 63
39.30 deg, I 100
43.14 deg, I 59
43.30 deg, I 37
43.94 deg, I 46
44.61 deg, I 63

Atomic structure:
```
data_Ti3Zn7Pd
_chemical_formula_sum 'Ti6 Zn14 Pd2'
_symmetry_space_group_name_H-M 'P 1'
_symmetry_Int_Tables_number 1
_symmetry_space_group_name_Hall 'P 1'
_cell_length_a 9.7175
_cell_length_b 9.7175
_cell_length_c 13.4438
_cell_angle_alpha 90.00
_cell_angle_beta 90.00
_cell_angle_gamma 164.06
loop_
_atom_site_label
_atom_site_fract_x
_atom_site_fract_y
_atom_site_fract_z
Ti1 0.1225 0.8775 0.5492
Ti2 0.1225 0.8775 0.9508
Ti3 0.2656 0.7344 0.2500
Ti4 0.7344 0.2656 0.7500
Ti5 0.8775 0.1225 0.0492
Ti6 0.8775 0.1225 0.4508
Zn1 0.2601 0.7399 0.5773
Zn2 0.2601 0.7399 0.9227
Zn3 0.3716 0.6284 0.6534
Zn4 0.3716 0.6284 0.8466
Zn5 0.4063 0.5937 0.2500
Zn6 0.4973 0.5027 0.5892
Zn7 0.4973 0.5027 0.9108
Zn8 0.5027 0.4973 0.0892
Zn9 0.5027 0.4973 0.4108
Zn10 0.5937 0.4063 0.7500
Zn11 0.6284 0.3716 0.1534
Zn12 0.6284 0.3716 0.3466
Zn13 0.7399 0.2601 0.0773
Zn14 0.7399 0.2601 0.4227
Pd1 0.0300 0.9700 0.2500
Pd2 0.9700 0.0300 0.7500
```

# 2
TiZnPd: computed powder diffraction line list (Cu Kα), based on a crystal structure in Alexandria, relaxed with PBE.
Intensities are scaled so that the largest is 100.

Top 10 peaks for 10 to 80 degrees two-theta, in order of rising 2θ:
21.18 deg, I 10
29.09 deg, I 14
38.29 deg, I 28
38.91 deg, I 34
42.38 deg, I 100
43.16 deg, I 12
55.73 deg, I 18
66.94 deg, I 6
72.03 deg, I 11
72.84 deg, I 19

Atomic structure:
```
data_TiZnPd
_chemical_formula_sum 'Ti2 Zn2 Pd2'
_symmetry_space_group_name_H-M 'P 1'
_symmetry_Int_Tables_number 1
_symmetry_space_group_name_Hall 'P 1'
_cell_length_a 4.6294
_cell_length_b 4.8078
_cell_length_c 4.8078
_cell_angle_alpha 58.55
_cell_angle_beta 90.00
_cell_angle_gamma 90.00
loop_
_atom_site_label
_atom_site_fract_x
_atom_site_fract_y
_atom_site_fract_z
Ti1 0.2500 0.2189 0.7811
Ti2 0.7500 0.7811 0.2189
Zn1 0.2500 0.8796 0.4556
Zn2 0.7500 0.4556 0.8796
Pd1 0.2500 0.5386 0.1208
Pd2 0.7500 0.1208 0.5386
```

# 3
TiZn3Pd12: computed powder diffraction line list (Cu Kα), based on a crystal structure in Alexandria, relaxed with PBE.
Intensities are scaled so that the largest is 100.

Top 8 peaks for 10 to 80 degrees two-theta, in order of rising 2θ:
22.69 deg, I 4
32.31 deg, I 3
39.84 deg, I 100
46.34 deg, I 48
52.19 deg, I 2
57.62 deg, I 1
67.62 deg, I 30
72.33 deg, I 1

Atomic structure:
```
data_TiZn3Pd12
_chemical_formula_sum 'Ti1 Zn3 Pd12'
_symmetry_space_group_name_H-M 'P 1'
_symmetry_Int_Tables_number 1
_symmetry_space_group_name_Hall 'P 1'
_cell_length_a 3.9208
_cell_length_b 3.9208
_cell_length_c 15.6592
_cell_angle_alpha 90.00
_cell_angle_beta 90.00
_cell_angle_gamma 90.00
loop_
_atom_site_label
_atom_site_fract_x
_atom_site_fract_y
_atom_site_fract_z
Ti1 0.0000 0.0000 0.0000
Zn1 0.0000 0.0000 0.2530
Zn2 0.0000 0.0000 0.5000
Zn3 0.0000 0.0000 0.7470
Pd1 0.0000 0.5000 0.1234
Pd2 0.0000 0.5000 0.3755
Pd3 0.0000 0.5000 0.6245
Pd4 0.0000 0.5000 0.8766
Pd5 0.5000 0.0000 0.1234
Pd6 0.5000 0.0000 0.3755
Pd7 0.5000 0.0000 0.6245
Pd8 0.5000 0.0000 0.8766
Pd9 0.5000 0.5000 0.0000
Pd10 0.5000 0.5000 0.2487
Pd11 0.5000 0.5000 0.5000
Pd12 0.5000 0.5000 0.7513
```

# 4
ZrTi2Zn2Pd2: computed powder diffraction line list (Cu Kα), based on a crystal structure in Alexandria, relaxed with PBE.
Intensities are scaled so that the largest is 100.

Top 10 peaks for 10 to 80 degrees two-theta, in order of rising 2θ:
24.75 deg, I 10
28.97 deg, I 15
38.43 deg, I 92
40.74 deg, I 100
42.15 deg, I 12
57.12 deg, I 9
57.31 deg, I 18
72.53 deg, I 9
72.67 deg, I 17
74.16 deg, I 16

Atomic structure:
```
data_ZrTi2Zn2Pd2
_chemical_formula_sum 'Zr1 Ti2 Zn2 Pd2'
_symmetry_space_group_name_H-M 'P 1'
_symmetry_Int_Tables_number 1
_symmetry_space_group_name_Hall 'P 1'
_cell_length_a 4.4307
_cell_length_b 4.4307
_cell_length_c 7.3535
_cell_angle_alpha 107.38
_cell_angle_beta 107.38
_cell_angle_gamma 59.93
loop_
_atom_site_label
_atom_site_fract_x
_atom_site_fract_y
_atom_site_fract_z
Zr1 0.0000 0.0000 0.0000
Ti1 0.4264 0.4264 0.2791
Ti2 0.5736 0.5736 0.7209
Zn1 0.1418 0.1418 0.4266
Zn2 0.8582 0.8582 0.5734
Pd1 0.2682 0.2682 0.8033
Pd2 0.7318 0.7318 0.1967
```

# 5
ZrTiPd2: computed powder diffraction line list (Cu Kα), based on a crystal structure in Alexandria, relaxed with PBE.
Intensities are scaled so that the largest is 100.

Top 10 peaks for 10 to 80 degrees two-theta, in order of rising 2θ:
35.47 deg, I 23
35.67 deg, I 11
38.37 deg, I 34
40.50 deg, I 25
40.68 deg, I 100
53.24 deg, I 14
63.82 deg, I 11
70.94 deg, I 18
76.99 deg, I 12
77.34 deg, I 8

Atomic structure:
```
data_ZrTiPd2
_chemical_formula_sum 'Zr2 Ti2 Pd4'
_symmetry_space_group_name_H-M 'P 1'
_symmetry_Int_Tables_number 1
_symmetry_space_group_name_Hall 'P 1'
_cell_length_a 4.6923
_cell_length_b 5.8021
_cell_length_c 5.0610
_cell_angle_alpha 90.00
_cell_angle_beta 90.00
_cell_angle_gamma 90.00
loop_
_atom_site_label
_atom_site_fract_x
_atom_site_fract_y
_atom_site_fract_z
Zr1 0.2500 0.2500 0.1904
Zr2 0.7500 0.7500 0.8096
Ti1 0.2500 0.7500 0.2267
Ti2 0.7500 0.2500 0.7733
Pd1 0.2500 0.0023 0.6852
Pd2 0.2500 0.4977 0.6852
Pd3 0.7500 0.5023 0.3148
Pd4 0.7500 0.9977 0.3148
```

# 6
ZrTi3Pd6: computed powder diffraction line list (Cu Kα), based on a crystal structure in Alexandria, relaxed with PBE.
Intensities are scaled so that the largest is 100.

Top 10 peaks for 10 to 80 degrees two-theta, in order of rising 2θ:
38.85 deg, I 100
39.00 deg, I 97
44.34 deg, I 32
45.27 deg, I 33
46.16 deg, I 29
65.22 deg, I 20
66.64 deg, I 19
77.83 deg, I 11
78.11 deg, I 10
79.30 deg, I 23

Atomic structure:
```
data_ZrTi3Pd6
_chemical_formula_sum 'Zr2 Ti6 Pd12'
_symmetry_space_group_name_H-M 'P 1'
_symmetry_Int_Tables_number 1
_symmetry_space_group_name_Hall 'P 1'
_cell_length_a 8.8438
_cell_length_b 4.0066
_cell_length_c 9.0892
_cell_angle_alpha 90.00
_cell_angle_beta 91.56
_cell_angle_gamma 90.00
loop_
_atom_site_label
_atom_site_fract_x
_atom_site_fract_y
_atom_site_fract_z
Zr1 0.0620 0.2500 0.3771
Zr2 0.9380 0.7500 0.6229
Ti1 0.2492 0.2500 0.0131
Ti2 0.3462 0.7500 0.8015
Ti3 0.4471 0.2500 0.6027
Ti4 0.5529 0.7500 0.3973
Ti5 0.6538 0.2500 0.1985
Ti6 0.7508 0.7500 0.9869
Pd1 0.0590 0.7500 0.9064
Pd2 0.1536 0.2500 0.7052
Pd3 0.1605 0.7500 0.1968
Pd4 0.2520 0.7500 0.5053
Pd5 0.3679 0.2500 0.3025
Pd6 0.4602 0.7500 0.0979
Pd7 0.5398 0.2500 0.9021
Pd8 0.6321 0.7500 0.6975
Pd9 0.7480 0.2500 0.4947
Pd10 0.8395 0.2500 0.8032
Pd11 0.8464 0.7500 0.2948
Pd12 0.9410 0.2500 0.0936
```